Computed powder XRD pattern
Compound: Eu2YVO6
Radiation: CuKα
Structure: a PBE+U-relaxed structure
Kinematic intensities with the Lorentz-polarization factor, no thermal factor.

Main lines, in order of rising 2θ (2θ = 10–90°):
| Position (°2θ) | I (rel.) | (hkl) |
| --- | --- | --- |
| 21.70 | 10 | 2 0 0 |
| 30.88 | 100 | 2 2 0 |
| 38.06 | 15 | 2 2 2 |
| 44.24 | 31 | 4 0 0 |
| 54.92 | 39 | 4 2 2 |
| 64.34 | 19 | 4 4 0 |
| 73.07 | 17 | 6 2 0 |
| 89.56 | 21 | 6 4 2 |

Cell and atoms:
```
data_Eu2YVO6
_chemical_formula_sum 'Eu8 Y4 V4 O24'
_cell_length_a 8.190
_cell_length_b 8.190
_cell_length_c 8.190
_cell_angle_alpha 90.00
_cell_angle_beta 90.00
_cell_angle_gamma 90.00
_symmetry_space_group_name_H-M 'F m -3 m'
_symmetry_Int_Tables_number 225
_symmetry_space_group_name_Hall '-F 4 2 3'
loop_
_atom_site_label
_atom_site_type_symbol
_atom_site_fract_x
_atom_site_fract_y
_atom_site_fract_z
Eu1 Eu 0.250 0.250 0.250
Y1 Y 0.000 0.000 0.000
V1 V 0.000 0.000 0.500
O1 O 0.000 0.000 0.268
```